No. 1
# MnPSe3
Computed powder X-ray diffraction pattern, Cu Ka. Input: a DFT-relaxed cell (PBE, Alexandria).
Neutral-atom scattering factors, no anomalous dispersion.

Main lines, low angle first (10 to 90 degrees two-theta):
2θ/deg, I (rel.)
11.91, 40
23.96, 23
30.41, 100
37.08, 37
46.36, 28
49.31, 29
55.54, 13
59.04, 14
63.27, 7
70.00, 8
72.10, 10
80.43, 12

Atomic structure:
```
MnPSe3
1.0
3.2008 1.8480 7.4287
-3.2008 1.8480 7.4287
0.0000 -3.6960 7.4287
Mn P Se
2 2 6
Direct
0.1670 0.1670 0.1670 Mn
0.8330 0.8330 0.8330 Mn
0.4498 0.4498 0.4498 P
0.5502 0.5502 0.5502 P
0.0892 0.7587 0.4224 Se
0.2413 0.5776 0.9108 Se
0.4224 0.0892 0.7587 Se
0.5776 0.9108 0.2413 Se
0.7587 0.4224 0.0892 Se
0.9108 0.2413 0.5776 Se
```



No. 2
# Li4LaAu8
Computed powder X-ray diffraction pattern, Cu Ka. Input: a DFT-relaxed cell (PBE, Alexandria).
Neutral-atom scattering factors, no anomalous dispersion.

Main lines, low angle first (10 to 90 degrees two-theta):
2θ/deg, I (rel.)
19.10, 21
27.12, 47
33.44, 78
38.75, 100
43.57, 62
52.10, 20
63.38, 17
66.74, 13
66.85, 8
70.14, 36
86.39, 8
89.53, 15

Atomic structure:
```
Li4LaAu8
1.0
-4.6494 4.6494 2.6769
4.6494 -4.6494 2.6769
4.6494 4.6494 -2.6769
Li La Au
4 1 8
Direct
0.0000 0.0000 0.5000 Li
0.0000 0.5000 0.0000 Li
0.5000 0.0000 0.0000 Li
0.5000 0.5000 0.5000 Li
0.0000 0.0000 0.0000 La
0.0000 0.3391 0.3391 Au
0.0000 0.6609 0.6609 Au
0.2773 0.5000 0.7773 Au
0.3391 0.0000 0.3391 Au
0.5000 0.2773 0.7773 Au
0.5000 0.7227 0.2227 Au
0.6609 0.0000 0.6609 Au
0.7227 0.5000 0.2227 Au
```



No. 3
# La3PaIr3
Computed powder X-ray diffraction pattern, Cu Ka. Input: a DFT-relaxed cell (PBE, Alexandria).
Neutral-atom scattering factors, no anomalous dispersion.

Main lines, low angle first (10 to 90 degrees two-theta):
2θ/deg, I (rel.)
24.59, 28
25.52, 52
27.94, 28
29.16, 91
30.61, 93
31.65, 86
35.41, 80
35.73, 90
43.08, 41
43.41, 100
43.93, 41
62.83, 27

Atomic structure:
```
La3PaIr3
1.0
12.7769 0.0000 0.0000
0.0000 4.1676 0.0000
0.0000 0.0000 14.4799
La Pa Ir
12 4 12
Direct
0.0822 0.2500 0.0905 La
0.1433 0.7500 0.5186 La
0.2283 0.7500 0.8054 La
0.2717 0.2500 0.3054 La
0.3567 0.2500 0.0186 La
0.4178 0.7500 0.5905 La
0.5822 0.2500 0.4095 La
0.6433 0.7500 0.9814 La
0.7283 0.7500 0.6946 La
0.7717 0.2500 0.1946 La
0.8567 0.2500 0.4814 La
0.9178 0.7500 0.9095 La
0.0250 0.2500 0.7058 Pa
0.4750 0.7500 0.2058 Pa
0.5250 0.2500 0.7942 Pa
0.9750 0.7500 0.2942 Pa
0.0603 0.2500 0.3838 Ir
0.0772 0.2500 0.8811 Ir
0.2250 0.2500 0.6521 Ir
0.2750 0.7500 0.1521 Ir
0.4228 0.7500 0.3811 Ir
0.4397 0.7500 0.8838 Ir
0.5603 0.2500 0.1162 Ir
0.5772 0.2500 0.6189 Ir
0.7250 0.2500 0.8479 Ir
0.7750 0.7500 0.3479 Ir
0.9228 0.7500 0.1189 Ir
0.9397 0.7500 0.6162 Ir
```



No. 4
# YNpBr6
Computed powder X-ray diffraction pattern, Cu Ka. Input: a DFT-relaxed cell (PBE, Alexandria).
Neutral-atom scattering factors, no anomalous dispersion.

Main lines, low angle first (10 to 90 degrees two-theta):
2θ/deg, I (rel.)
13.42, 80
16.95, 76
22.12, 26
29.34, 100
29.62, 18
31.39, 44
38.06, 30
40.32, 21
41.05, 17
42.88, 18
43.43, 35
43.57, 34

Atomic structure:
```
YNpBr6
1.0
3.5527 -6.5968 0.0000
3.5527 6.5968 0.0000
-2.0676 0.0000 6.7678
Y Np Br
1 1 6
Direct
0.0000 0.0000 0.0000 Y
0.5000 0.5000 0.5000 Np
0.0960 0.3890 0.2436 Br
0.2471 0.2471 0.7526 Br
0.3890 0.0960 0.2436 Br
0.6110 0.9040 0.7564 Br
0.7529 0.7529 0.2474 Br
0.9040 0.6110 0.7564 Br
```



No. 5
# AgH8O5
Computed powder X-ray diffraction pattern, Cu Ka. Input: a DFT-relaxed cell (PBE, Alexandria).
Neutral-atom scattering factors, no anomalous dispersion.

Main lines, low angle first (10 to 90 degrees two-theta):
2θ/deg, I (rel.)
13.67, 51
15.33, 100
24.80, 44
27.59, 21
30.95, 11
31.35, 18
32.14, 26
37.80, 14
39.77, 17
42.27, 20
47.40, 12
49.08, 10

Atomic structure:
```
AgH8O5
1.0
6.3571 0.0000 0.0000
0.0000 6.4565 0.0000
0.0000 0.0000 12.9571
Ag H O
4 32 20
Direct
0.0352 0.2479 0.9998 Ag
0.4648 0.7521 0.4998 Ag
0.5352 0.2521 0.0002 Ag
0.9648 0.7479 0.5002 Ag
0.0632 0.8022 0.1923 H
0.1685 0.4338 0.6792 H
0.1909 0.6572 0.7250 H
0.1915 0.1381 0.4094 H
0.2013 0.9761 0.2503 H
0.2061 0.3756 0.3735 H
0.2157 0.0498 0.5794 H
0.2210 0.6952 0.3396 H
0.2790 0.3048 0.8396 H
0.2843 0.9502 0.0794 H
0.2939 0.6244 0.8735 H
0.2987 0.0239 0.7503 H
0.3085 0.8619 0.9094 H
0.3091 0.3428 0.2250 H
0.3315 0.5662 0.1792 H
0.4368 0.1978 0.6923 H
0.5632 0.6978 0.8077 H
0.6685 0.0662 0.3208 H
0.6909 0.8428 0.2750 H
0.6915 0.3619 0.5906 H
0.7013 0.5239 0.7497 H
0.7061 0.1244 0.6265 H
0.7157 0.4502 0.4206 H
0.7210 0.8048 0.6604 H
0.7790 0.1952 0.1604 H
0.7843 0.5498 0.9206 H
0.7939 0.8756 0.1265 H
0.7987 0.4761 0.2497 H
0.8085 0.6381 0.0906 H
0.8091 0.1572 0.7750 H
0.8315 0.9338 0.8208 H
0.9368 0.3022 0.3077 H
0.1707 0.5805 0.6602 O
0.1774 0.2295 0.3463 O
0.2102 0.8423 0.2143 O
0.2123 0.9850 0.5103 O
0.2172 0.6112 0.4037 O
0.2828 0.3888 0.9037 O
0.2877 0.0150 0.0103 O
0.2898 0.1577 0.7143 O
0.3226 0.7705 0.8463 O
0.3293 0.4195 0.1602 O
0.6707 0.9195 0.3398 O
0.6774 0.2705 0.6537 O
0.7102 0.6577 0.7857 O
0.7123 0.5150 0.4897 O
0.7172 0.8888 0.5963 O
0.7828 0.1112 0.0963 O
0.7877 0.4850 0.9897 O
0.7898 0.3423 0.2857 O
0.8226 0.7295 0.1537 O
0.8293 0.0805 0.8398 O
```



No. 6
# Tm2PuAu
Computed powder X-ray diffraction pattern, Cu Ka. Input: a DFT-relaxed cell (PBE, Alexandria).
Neutral-atom scattering factors, no anomalous dispersion.

Main lines, low angle first (10 to 90 degrees two-theta):
2θ/deg, I (rel.)
27.49, 4
33.35, 100
36.04, 45
43.59, 9
49.19, 5
51.89, 16
57.80, 15
63.09, 33
70.03, 9
76.45, 5
86.01, 7
87.54, 8

Atomic structure:
```
Tm2PuAu
1.0
3.5240 0.0000 0.0000
0.0000 3.5240 0.0000
0.0000 0.0000 8.3054
Tm Pu Au
2 1 1
Direct
0.0000 0.0000 0.2101 Tm
0.0000 0.0000 0.7899 Tm
0.5000 0.5000 0.5000 Pu
0.5000 0.5000 0.0000 Au
```



No. 7
# Rb2HfPdF6
Computed powder X-ray diffraction pattern, Cu Ka. Input: a DFT-relaxed cell (PBE, Alexandria).
Neutral-atom scattering factors, no anomalous dispersion.

Main lines, low angle first (10 to 90 degrees two-theta):
2θ/deg, I (rel.)
16.30, 15
19.43, 14
26.34, 100
27.61, 43
35.67, 19
39.44, 29
45.69, 19
48.05, 37
54.22, 20
58.60, 13
72.95, 13
77.70, 10

Atomic structure:
```
Rb2HfPdF6
1.0
-3.2311 3.2311 5.0342
3.2311 -3.2311 5.0342
3.2311 3.2311 -5.0342
Rb Hf Pd F
2 1 1 6
Direct
0.2500 0.7500 0.5000 Rb
0.7500 0.2500 0.5000 Rb
0.0000 0.0000 0.0000 Hf
0.5000 0.5000 0.0000 Pd
0.1994 0.1994 0.0000 F
0.2194 0.2194 0.4387 F
0.2194 0.7806 0.0000 F
0.7806 0.2194 0.0000 F
0.7806 0.7806 0.5613 F
0.8006 0.8006 0.0000 F
```



No. 8
# LaSm8Y3
Computed powder X-ray diffraction pattern, Cu Ka. Input: a DFT-relaxed cell (PBE, Alexandria).
Neutral-atom scattering factors, no anomalous dispersion.

Main lines, low angle first (10 to 90 degrees two-theta):
2θ/deg, I (rel.)
15.40, 28
15.58, 28
26.95, 19
30.89, 56
31.13, 100
31.43, 76
34.83, 26
35.17, 57
50.68, 22
55.09, 17
55.56, 20
64.93, 25

Atomic structure:
```
LaSm8Y3
1.0
-3.2701 5.7528 5.7903
3.2701 -5.7528 5.7903
3.2701 5.7528 -5.7903
La Sm Y
1 8 3
Direct
0.0000 0.0000 0.0000 La
0.0829 0.2513 0.8315 Sm
0.2602 0.2416 0.5018 Sm
0.2602 0.7584 0.0186 Sm
0.4198 0.2513 0.1685 Sm
0.5802 0.7487 0.8315 Sm
0.7398 0.2416 0.9814 Sm
0.7398 0.7584 0.4982 Sm
0.9171 0.7487 0.1685 Sm
0.2637 0.7637 0.5000 Y
0.5000 0.5000 0.0000 Y
0.7363 0.2363 0.5000 Y
```